The following is a theoretical XRD peak list of HoErO3. It was derived from a crystal structure in the Materials Project, relaxed with PBE, using Cu Kα (λ = 1.5418 Å).

Crystal structure
Lattice parameters (Å, degrees): 4.246 4.246 4.246 90.00 90.00 90.00
Space group Pm-3m (No. 221)
Inequivalent atoms, fractional coordinates:
Ho: 0.000 0.000 0.000 (multiplicity 1)
Er: 0.500 0.500 0.500 (multiplicity 1)
O: 0.000 0.500 0.500 (multiplicity 3)

The 9 most intense peaks (2θ from 10° to 90°), most intense first:
2θ = 29.75°, rel. 1000
2θ = 52.81°, rel. 416
2θ = 42.58°, rel. 277
2θ = 85.58°, rel. 218
2θ = 70.07°, rel. 181
2θ = 61.79°, rel. 177
2θ = 77.94°, rel. 59
2θ = 36.66°, rel. 9
2θ = 20.92°, rel. 5